# 1
Starting from a PBE-relaxed structure, the powder X-ray diffraction pattern of Nd12Ho7Er was computed for Cu Kα (λ = 1.5418 Å).

Atomic structure:
```
data_Nd12Ho7Er
_space_group_name_H-M_alt 'R -3'
_space_group_IT_number 148
_space_group_name_Hall '-R 3'
_cell_length_a 12.2539
_cell_length_b 12.2539
_cell_length_c 15.7808
_cell_angle_alpha 90.00
_cell_angle_beta 90.00
_cell_angle_gamma 120.00
loop_
_atom_site_label
_atom_site_type_symbol
_atom_site_fract_x
_atom_site_fract_y
_atom_site_fract_z
_atom_site_occupancy
Nd1 Nd 0.0215 0.5735 0.2216 1
Nd2 Nd 0.0599 0.4686 0.5797 1
Ho1 Ho 0.0000 0.0000 0.0000 1
Ho2 Ho 0.0541 0.8672 0.2994 1
Er1 Er 0.0000 0.0000 0.5000 1
```

The 10 most intense peaks (15° ≤ 2θ ≤ 90°), by angle:
d/Å  I/Imax  index
3.166  21  0 2 4
3.025  29  0 1 5
2.935  38  0 3 3
2.893  100  1 3 1
2.813  47  2 1 4
2.758  65  4 -1 2
2.713  18  2 0 5
2.417  15  1 1 6
1.738  14  1 4 6
1.699  17  5 2 0

# 2
Starting from a PBE-relaxed structure, the powder X-ray diffraction pattern of TlGeO2 was computed for Cu Kα (λ = 1.5418 Å).

Atomic structure:
```
data_TlGeO2
_space_group_name_H-M_alt 'R -3 m'
_space_group_IT_number 166
_space_group_name_Hall '-R 3 2"'
_cell_length_a 3.0758
_cell_length_b 3.0758
_cell_length_c 22.5340
_cell_angle_alpha 90.00
_cell_angle_beta 90.00
_cell_angle_gamma 120.00
loop_
_atom_site_label
_atom_site_type_symbol
_atom_site_fract_x
_atom_site_fract_y
_atom_site_fract_z
_atom_site_occupancy
Tl1 Tl 0.0000 0.0000 0.0000 1
Ge1 Ge 0.0000 0.0000 0.5000 1
O1 O 0.0000 0.0000 0.1242 1
```

The 10 most intense peaks (15° ≤ 2θ ≤ 90°), by angle:
d/Å  I/Imax  index
3.756  86  0 0 6
2.645  30  1 0 1
2.592  100  0 1 2
2.408  63  1 0 4
2.052  14  1 0 7
1.935  52  0 1 8
1.720  30  1 0 10
1.538  25  1 1 0
1.423  31  1 1 6
1.190  15  1 1 12

# 3
Starting from a PBE-relaxed structure, the powder X-ray diffraction pattern of Ac2Nd3Ho8 was computed for Cu Kα (λ = 1.5418 Å).

Atomic structure:
```
data_Ac2Nd3Ho8
_space_group_name_H-M_alt 'R -3 m'
_space_group_IT_number 166
_space_group_name_Hall '-R 3 2"'
_cell_length_a 6.6313
_cell_length_b 6.6313
_cell_length_c 36.7988
_cell_angle_alpha 90.00
_cell_angle_beta 90.00
_cell_angle_gamma 120.00
loop_
_atom_site_label
_atom_site_type_symbol
_atom_site_fract_x
_atom_site_fract_y
_atom_site_fract_z
_atom_site_occupancy
Ac1 Ac 0.0000 0.0000 0.1380 1
Nd1 Nd 0.0000 0.0000 0.3130 1
Nd2 Nd 0.0000 0.0000 0.5000 1
Ho1 Ho 0.0000 0.0000 0.2291 1
Ho2 Ho 0.9995 0.4998 0.2789 1
```

The 10 most intense peaks (15° ≤ 2θ ≤ 90°), by angle:
d/Å  I/Imax  index
3.316  50  1 1 0
3.201  36  1 1 3
2.891  100  0 1 11
2.837  81  2 0 2
2.675  49  2 0 5
2.575  26  1 1 9
2.520  36  0 2 7
1.821  53  1 2 11
1.658  43  2 2 0
1.438  24  3 1 11

# 4
Starting from a PBE-relaxed structure, the powder X-ray diffraction pattern of Tb2Er2Th3 was computed for Cu Kα (λ = 1.5418 Å).

Atomic structure:
```
data_Tb2Er2Th3
_space_group_name_H-M_alt 'C 1 2/m 1'
_space_group_IT_number 12
_cell_length_a 17.392
_cell_length_b 3.464
_cell_length_c 8.434
_cell_angle_alpha 90.00
_cell_angle_beta 117.37
_cell_angle_gamma 90.00
loop_
_space_group_symop_operation_xyz
'x,y,z'
'-x,-y,-z'
'-x,y,-z'
'x,-y,z'
'x+1/2,y+1/2,z'
'-x+1/2,-y+1/2,-z'
'-x+1/2,y+1/2,-z'
'x+1/2,-y+1/2,z'
loop_
_atom_site_label
_atom_site_type_symbol
_atom_site_fract_x
_atom_site_fract_y
_atom_site_fract_z
_atom_site_occupancy
Tb1 Tb 0.069 0.000 0.405 1
Er1 Er 0.148 0.500 0.835 1
Th1 Th 0.000 0.500 0.000 1
Th2 Th 0.213 0.500 0.293 1
```

The 10 most intense peaks (15° ≤ 2θ ≤ 90°), by angle:
d/Å  I/Imax  index
3.204  53  1 1 -1
2.888  80  2 0 2
2.874  100  6 0 -1
2.751  65  4 0 -3
2.629  67  3 1 -2
2.479  42  3 1 1
2.305  32  5 1 0
1.713  25  1 1 -4
1.647  26  9 1 -3
1.484  45  6 2 -1

# 5
Starting from a PBE-relaxed structure, the powder X-ray diffraction pattern of CsAc2HgS4 was computed for Cu Kα (λ = 1.5418 Å).

Atomic structure:
```
data_CsAc2HgS4
_space_group_name_H-M_alt 'C m c m'
_space_group_IT_number 63
_space_group_name_Hall '-C 2c 2'
_cell_length_a 4.591
_cell_length_b 14.785
_cell_length_c 15.265
_cell_angle_alpha 90.00
_cell_angle_beta 90.00
_cell_angle_gamma 90.00
loop_
_atom_site_label
_atom_site_type_symbol
_atom_site_fract_x
_atom_site_fract_y
_atom_site_fract_z
_atom_site_occupancy
Cs1 Cs 0.000 0.119 0.250 1
Ac1 Ac 0.000 0.370 0.061 1
Hg1 Hg 0.000 0.150 0.750 1
S1 S 0.000 0.000 0.000 1
S2 S 0.000 0.257 0.600 1
S3 S 0.000 0.437 0.250 1
```

The 10 most intense peaks (15° ≤ 2θ ≤ 90°), by angle:
d/Å  I/Imax  index
4.191  32  0 2 3
3.805  87  1 1 2
3.696  48  0 4 0
3.322  31  1 1 3
3.075  100  1 3 2
2.822  31  0 2 5
2.544  22  0 0 6
2.296  29  2 0 0
2.234  38  1 5 3
1.951  24  2 4 0

# 6
Starting from a PBE-relaxed structure, the powder X-ray diffraction pattern of B7C3 was computed for Cu Kα (λ = 1.5418 Å).

Atomic structure:
```
data_B7C3
_space_group_name_H-M_alt 'I -4 m 2'
_space_group_IT_number 119
_space_group_name_Hall 'I -4 -2'
_cell_length_a 2.395
_cell_length_b 2.395
_cell_length_c 23.804
_cell_angle_alpha 90.00
_cell_angle_beta 90.00
_cell_angle_gamma 90.00
loop_
_atom_site_label
_atom_site_type_symbol
_atom_site_fract_x
_atom_site_fract_y
_atom_site_fract_z
_atom_site_occupancy
B1 B 0.000 0.000 0.000 1
B2 B 0.000 0.000 0.389 1
B3 B 0.000 0.500 0.056 1
B4 B 0.000 0.500 0.666 1
C1 C 0.000 0.000 0.212 1
C2 C 0.000 0.500 0.250 1
```

The 10 most intense peaks (15° ≤ 2θ ≤ 90°), by angle:
d/Å  I/Imax  index
2.140  100  1 0 5
1.958  9  1 0 7
1.775  2  1 0 9
1.472  5  1 1 8
1.455  6  1 0 13
1.380  25  1 1 10
1.323  9  0 0 18
1.288  5  1 1 12
1.209  2  1 0 17
1.198  12  2 0 0

# 7
Starting from a PBE-relaxed structure, the powder X-ray diffraction pattern of La7Ga3 was computed for Cu Kα (λ = 1.5418 Å).

Atomic structure:
```
data_La7Ga3
_space_group_name_H-M_alt 'P 63 m c'
_space_group_IT_number 186
_space_group_name_Hall 'P 6c -2c'
_cell_length_a 10.7279
_cell_length_b 10.7279
_cell_length_c 6.3828
_cell_angle_alpha 90.00
_cell_angle_beta 90.00
_cell_angle_gamma 120.00
loop_
_atom_site_label
_atom_site_type_symbol
_atom_site_fract_x
_atom_site_fract_y
_atom_site_fract_z
_atom_site_occupancy
La1 La 0.0700 0.5350 0.0000 1
La2 La 0.1241 0.2482 0.2167 1
La3 La 0.3333 0.6667 0.4531 1
Ga1 Ga 0.1905 0.3810 0.6968 1
```

The 10 most intense peaks (15° ≤ 2θ ≤ 90°), by angle:
d/Å  I/Imax  index
3.512  23  2 1 0
3.077  86  2 1 1
3.018  54  1 0 2
2.786  100  3 0 1
2.682  50  2 2 0
2.630  56  2 0 2
1.933  24  4 1 1
1.820  22  2 1 3
1.788  22  3 3 0
1.772  32  3 2 2

# 8
Starting from a PBE-relaxed structure, the powder X-ray diffraction pattern of GeTeAu3 was computed for Cu Kα (λ = 1.5418 Å).

Atomic structure:
```
data_GeTeAu3
_space_group_name_H-M_alt 'C 1 2/c 1'
_space_group_IT_number 15
_cell_length_a 14.004
_cell_length_b 8.353
_cell_length_c 8.208
_cell_angle_alpha 90.00
_cell_angle_beta 111.58
_cell_angle_gamma 90.00
loop_
_space_group_symop_operation_xyz
'x,y,z'
'-x,-y,-z'
'-x,y,-z+1/2'
'x,-y,z+1/2'
'x+1/2,y+1/2,z'
'-x+1/2,-y+1/2,-z'
'-x+1/2,y+1/2,-z+1/2'
'x+1/2,-y+1/2,z+1/2'
loop_
_atom_site_label
_atom_site_type_symbol
_atom_site_fract_x
_atom_site_fract_y
_atom_site_fract_z
_atom_site_occupancy
Ge1 Ge 0.136 0.167 0.323 1
Te1 Te 0.000 0.108 0.750 1
Te2 Te 0.000 0.445 0.250 1
Au1 Au 0.154 0.470 0.085 1
Au2 Au 0.176 0.195 0.654 1
Au3 Au 0.194 0.127 0.054 1
```

The 10 most intense peaks (15° ≤ 2θ ≤ 90°), by angle:
d/Å  I/Imax  index
3.104  99  4 0 -2
2.865  100  2 0 2
2.723  61  1 3 0
2.504  48  1 3 1
2.344  78  3 3 0
2.254  37  1 1 3
2.171  63  6 0 0
2.145  57  4 2 -3
2.140  32  1 3 2
2.031  33  6 2 -1